U2Sb2Ru4C: theoretical XRD peak list (Cu Ka), based on a structure optimized by DFT (GGA-PBE).
Neutral-atom scattering factors, no anomalous dispersion.

Principal peaks in the range 15° ≤ 2θ ≤ 90°, by angle:
- d 4.296, 20.7 deg, rel. 9, (1 1 0)
- d 2.532, 35.5 deg, rel. 7, (1 0 3)
- d 2.457, 36.6 deg, rel. 100, (2 0 2)
- d 2.148, 42.1 deg, rel. 38, (2 2 0)
- d 2.089, 43.3 deg, rel. 13, (0 0 4)
- d 1.519, 61.0 deg, rel. 12, (4 0 0)
- d 1.498, 62.0 deg, rel. 18, (2 2 4)
- d 1.292, 73.3 deg, rel. 27, (4 2 2)
- d 1.266, 75.0 deg, rel. 7, (2 0 6)
- d 1.228, 77.7 deg, rel. 9, (4 0 4)

Structural model:
a b c (Å): 6.076 6.076 8.355
angles (deg): 90.00 90.00 90.00
Space group I4/mmm (No. 139)
Asymmetric unit:
1 U 0.000 0.000 0.218 x4
2 Sb 0.000 0.500 0.250 x4
3 Ru 0.249 0.249 0.000 x8
4 C 0.000 0.000 0.500 x2

=====

Sc3RuC3: theoretical XRD peak list (Cu Ka), based on a structure optimized by DFT (GGA-PBE).
Neutral-atom scattering factors, no anomalous dispersion.

Principal peaks in the range 15° ≤ 2θ ≤ 90°, by angle:
- d 3.777, 23.6 deg, rel. 40, (1 1 1)
- d 3.024, 29.5 deg, rel. 16, (1 3 0)
- d 2.630, 34.1 deg, rel. 100, (2 2 1)
- d 2.543, 35.3 deg, rel. 17, (1 3 1)
- d 2.432, 37.0 deg, rel. 18, (0 4 0)
- d 2.350, 38.3 deg, rel. 43, (0 0 2)
- d 2.331, 38.6 deg, rel. 21, (3 1 1)
- d 2.094, 43.2 deg, rel. 25, (4 0 0)
- d 1.564, 59.1 deg, rel. 18, (4 0 2)
- d 1.405, 66.6 deg, rel. 14, (2 2 3)

Structural model:
a b c (Å): 8.378 9.727 4.700
angles (deg): 90.00 90.00 90.00
Space group Cmcm (No. 63)
Asymmetric unit:
1 Sc 0.000 0.109 0.250 x4
2 Sc 0.225 0.380 0.250 x8
3 Ru 0.000 0.314 0.750 x4
4 C 0.000 0.118 0.750 x4
5 C 0.219 0.377 0.750 x8

=====

Sm2RuC4: theoretical XRD peak list (Cu Ka), based on a structure optimized by DFT (GGA-PBE).
Neutral-atom scattering factors, no anomalous dispersion.

Principal peaks in the range 15° ≤ 2θ ≤ 90°, by angle:
- d 3.278, 27.2 deg, rel. 89, (1 2 1)
- d 3.010, 29.7 deg, rel. 100, (2 1 1)
- d 2.998, 29.8 deg, rel. 78, (1 3 0)
- d 2.690, 33.3 deg, rel. 21, (0 0 2)
- d 2.520, 35.6 deg, rel. 42, (3 1 0)
- d 2.461, 36.5 deg, rel. 48, (1 1 2)
- d 1.805, 50.6 deg, rel. 38, (0 4 2)
- d 1.658, 55.4 deg, rel. 24, (2 5 1)
- d 1.622, 56.7 deg, rel. 55, (3 3 2)
- d 1.583, 58.3 deg, rel. 19, (4 0 2)

Structural model:
a b c (Å): 7.828 9.735 5.380
angles (deg): 90.00 90.00 90.00
Space group Ibam (No. 72)
Asymmetric unit:
1 Sm 0.148 0.150 0.000 x8
2 Ru 0.000 0.500 0.250 x4
3 C 0.164 0.125 0.500 x8
4 C 0.174 0.425 0.000 x8